Structure and calculated X-ray diffraction stick pattern of TbEr5Sc2In (a GGA-PBE-relaxed structure; Cu Kα (λ = 1.5418 Å)).
No peak broadening, texture or thermal motion is included.

Principal peaks in the range 2θ = 10–90°, by intensity:
(1 5 2), 2θ 33.49, I = 100; (2 0 0), 2θ 34.21, I = 30; (1 1 3), 2θ 31.27, I = 26; (0 0 4), 2θ 34.48, I = 18; (3 5 2), 2θ 60.79, I = 18; (2 0 4), 2θ 49.36, I = 13; (0 6 1), 2θ 28.89, I = 13; (2 6 1), 2θ 45.37, I = 10; (0 10 4), 2θ 59.41, I = 9; (0 10 0), 2θ 46.79, I = 8

```
data_TbEr5Sc2In
_chemical_formula_sum 'Tb4 Er20 Sc8 In4'
_cell_length_a 5.2420
_cell_length_b 19.4173
_cell_length_c 10.4040
_cell_angle_alpha 90.00
_cell_angle_beta 90.00
_cell_angle_gamma 90.00
_space_group_name_H-M_alt 'C m c m'
_space_group_IT_number 63
_space_group_name_Hall '-C 2c 2'
loop_
_atom_site_label
_atom_site_type_symbol
_atom_site_fract_x
_atom_site_fract_y
_atom_site_fract_z
Tb1 Tb 0.0000 0.2015 0.2500
Er1 Er 0.0000 0.0079 0.2500
Er2 Er 0.0000 0.2909 0.5474
Er3 Er 0.0000 0.3792 0.2500
Er4 Er 0.0000 0.5000 0.0000
Sc1 Sc 0.0000 0.1160 0.5377
In1 In 0.0000 0.4071 0.7500
```